The following is a calculated X-ray powder pattern of Y2Er2Pd. It was derived from a crystal structure in Alexandria, relaxed with PBE, using Cu Kα, 1.54184 Å.

The 10 most intense peaks (2θ from 10° to 90°), in order of falling intensity:
| 2θ/deg | Rel. int. | index |
| --- | --- | --- |
| 30.6 | 100 | 2 2 0 |
| 33.1 | 95 | 1 3 -2 |
| 36.5 | 54 | 1 1 2 |
| 37.3 | 50 | 3 1 -2 |
| 14.9 | 35 | 0 2 0 |
| 25.1 | 31 | 1 1 -2 |
| 30.1 | 27 | 0 4 0 |
| 40.6 | 23 | 2 4 0 |
| 49.1 | 21 | 2 0 -4 |
| 31.1 | 20 | 0 2 2 |

Cell and atoms:
a b c (Å): 7.602 11.882 7.431
angles (deg): 90.00 118.00 90.00
Space group C2/m (No. 12)
Inequivalent atoms, fractional coordinates:
Y (0.025, 0.216, 0.251) (multiplicity 8)
Er (0.242, 0.000, 0.617) (multiplicity 4)
Er (0.248, 0.500, 0.888) (multiplicity 4)
Pd (0.000, 0.381, 0.500) (multiplicity 4)